The following is a simulated powder diffractogram of NiH8C2O10. It was derived from a DFT-relaxed cell (GGA+U, Alexandria), using Cu Kα (weighted mean of Kα1 and Kα2).

Structure:
a = 6.1579 Å, b = 6.3455 Å, c = 11.4886 Å
α = 90.00°, β = 112.86°, γ = 90.00°
Space group P2_1/c (No. 14)
Unique sites:
1 Ni 0.0000 0.0000 0.0000
2 H 0.1715 0.1156 0.8472
3 H 0.1740 0.1971 0.4510
4 H 0.2799 0.6947 0.0507
5 H 0.4166 0.5918 0.6190
6 C 0.2533 0.1321 0.6572
7 O 0.0760 0.1843 0.8920
8 O 0.1550 0.1836 0.1499
9 O 0.2766 0.0460 0.5613
10 O 0.2910 0.6449 0.5382
11 O 0.3235 0.0427 0.7661

Main lines, in order of falling intensity (2θ from 5° to 70°):
Position (°2θ)  Rel. int.  index
17.9  100  1 0 -2
24.8  72  1 1 1
16.3  64  0 1 1
15.6  52  1 0 0
16.7  39  0 0 2
32.5  31  2 1 -1
21.0  20  1 1 0
42.5  17  1 2 -4
44.6  16  0 2 4
27.8  14  1 1 -3